Entry 1:
Starting from a DFT-relaxed cell (GGA+U, the Materials Project), the powder XRD pattern of KNa2NiO2 was simulated for λ = 1.5418 Å (Cu Kα).
Lines closer than 0.1° are merged.

```
data_KNa2NiO2
_chemical_formula_sum 'K4 Na8 Ni4 O8'
_cell_length_a 6.280
_cell_length_b 6.302
_cell_length_c 10.555
_cell_angle_alpha 90.00
_cell_angle_beta 90.00
_cell_angle_gamma 90.00
_symmetry_space_group_name_H-M 'F m m 2'
_symmetry_Int_Tables_number 42
_symmetry_space_group_name_Hall 'F 2 -2'
loop_
_atom_site_label
_atom_site_type_symbol
_atom_site_fract_x
_atom_site_fract_y
_atom_site_fract_z
K1 K 0.000 0.000 0.000
Na1 Na 0.250 0.250 0.289
Ni1 Ni 0.000 0.000 0.561
O1 O 0.000 0.000 0.390
O2 O 0.000 0.000 0.731
```

Main lines, low angle first (10° ≤ 2θ ≤ 90°):
2θ/deg	I/Imax	(hkl)
21.68	377	1 1 1
28.33	191	0 2 0
28.43	189	2 0 0
33.16	1000	2 0 2
33.98	183	0 0 4
40.56	571	2 2 0
47.69	214	1 1 5
53.92	182	2 2 4


Entry 2:
Starting from a DFT-relaxed cell (GGA+U, the Materials Project), the powder XRD pattern of Li7VO4F2 was simulated for λ = 1.5418 Å (Cu Kα).
Lines closer than 0.1° are merged.

```
data_Li7VO4F2
_chemical_formula_sum 'Li14 V2 O8 F4'
_cell_length_a 5.523
_cell_length_b 5.859
_cell_length_c 9.853
_cell_angle_alpha 74.24
_cell_angle_beta 89.66
_cell_angle_gamma 62.71
_symmetry_space_group_name_H-M 'P 1'
_symmetry_Int_Tables_number 1
loop_
_symmetry_equiv_pos_as_xyz
'x,y,z'
loop_
_atom_site_label
_atom_site_type_symbol
_atom_site_fract_x
_atom_site_fract_y
_atom_site_fract_z
Li1 Li 0.000 0.000 0.000
Li2 Li 0.002 0.734 0.866
Li3 Li 0.048 0.009 0.302
Li4 Li 0.078 0.614 0.517
Li5 Li 0.465 0.726 0.997
Li6 Li 0.466 0.061 0.487
Li7 Li 0.470 0.648 0.705
Li8 Li 0.481 0.006 0.129
Li9 Li 0.519 0.336 0.936
Li10 Li 0.536 0.683 0.379
Li11 Li 0.539 0.018 0.800
Li12 Li 0.954 0.022 0.632
Li13 Li 0.971 0.715 0.203
Li14 Li 0.982 0.392 0.059
V1 V 0.003 0.360 0.776
V2 V 0.474 0.350 0.242
O1 O 0.149 0.617 0.707
O2 O 0.202 0.600 0.056
O3 O 0.254 0.594 0.353
O4 O 0.276 0.124 0.946
O5 O 0.345 0.088 0.297
O6 O 0.713 0.614 0.870
O7 O 0.766 0.131 0.135
O8 O 0.807 0.139 0.801
F1 F 0.267 0.101 0.643
F2 F 0.682 0.618 0.191
F3 F 0.713 0.624 0.561
F4 F 0.792 0.098 0.441
```

Main lines, low angle first (10° ≤ 2θ ≤ 90°):
2θ/deg	I/Imax	(hkl)
17.87	311	0 1 0
18.90	444	0 0 2
19.40	1000	1 0 -1
21.74	724	1 0 1
22.10	348	1 1 -1
36.22	598	1 0 3
36.74	445	-1 1 3
37.55	452	2 2 0